Entry 1:
# GaMoN3
Theoretical X-ray powder pattern, Cu Kα. Input: a cell relaxed with GGA-PBE.
Peak positions follow from Bragg's law for the DFT cell and can differ from measured ones.

Peak list (8 most intense, 2θ = 5–70°, by intensity)
2theta	I_rel	hkl
15.23	100.0	1 0 0
26.09	46.4	0 1 2
31.34	29.4	1 2 -1
20.97	28.8	-1 1 1
35.42	25.7	1 -2 2
32.21	24.7	1 1 2
16.86	24.2	0 1 1
32.84	19.8	-2 1 1

Structure:
Unit cell a=5.886 b=7.444 c=7.974 alpha=92.51 beta=95.13 gamma=96.94
Space group P-1 (No. 2)
Symmetry-distinct sites (fractional):
Ga1 0.118 0.360 0.058 (multiplicity 2)
Ga2 0.309 0.679 0.783 (multiplicity 2)
Mo1 0.005 0.669 0.392 (multiplicity 2)
Mo2 0.163 0.090 0.268 (multiplicity 2)
N1 0.100 0.853 0.847 (multiplicity 2)
N2 0.102 0.470 0.848 (multiplicity 2)
N3 0.163 0.185 0.490 (multiplicity 2)
N4 0.187 0.843 0.277 (multiplicity 2)
N5 0.207 0.590 0.552 (multiplicity 2)
N6 0.377 0.257 0.163 (multiplicity 2)

Entry 2:
# NpTiGaMo
Theoretical X-ray powder pattern, Cu Kα. Input: a cell relaxed with GGA-PBE.
Peak positions follow from Bragg's law for the DFT cell and can differ from measured ones.

Peak list (8 most intense, 2θ = 5–70°, by intensity)
2theta	I_rel	hkl
38.35	100.0	2 2 0
23.21	39.6	1 1 1
69.34	34.6	4 2 2
45.30	22.0	3 1 1
55.35	17.1	4 0 0
60.82	9.6	3 3 1
26.86	7.0	2 0 0
62.57	3.0	4 2 0

Structure:
Unit cell a=6.639 b=6.639 c=6.639 alpha=90.00 beta=90.00 gamma=90.00
Space group F-43m (No. 216)
Symmetry-distinct sites (fractional):
Np1 0.000 0.000 0.000 (multiplicity 4)
Ti1 0.000 0.000 0.500 (multiplicity 4)
Ga1 0.250 0.250 0.750 (multiplicity 4)
Mo1 0.250 0.250 0.250 (multiplicity 4)